Theoretical powder diffraction line list of K6ZrI12 for copper Kα, from a structure optimized by DFT (GGA-PBE).

Largest 10 diffraction maxima, in order of rising 2θ, 10 to 80 degrees two-theta:
d = 4.858 Å, I = 33; d = 4.608 Å, I = 25; d = 4.061 Å, I = 86; d = 3.576 Å, I = 35; d = 3.458 Å, I = 26; d = 3.209 Å, I = 55; d = 2.951 Å, I = 100; d = 2.798 Å, I = 61; d = 2.437 Å, I = 34; d = 2.030 Å, I = 26

```
data_K6ZrI12
_cell_length_a 9.884
_cell_length_b 9.884
_cell_length_c 9.884
_cell_angle_alpha 96.98
_cell_angle_beta 96.98
_cell_angle_gamma 96.98
_symmetry_space_group_name_H-M 'P 1'
_symmetry_Int_Tables_number 1
_symmetry_space_group_name_Hall 'P 1'
loop_
_atom_site_label
_atom_site_type_symbol
_atom_site_fract_x
_atom_site_fract_y
_atom_site_fract_z
K1 K 0.151 0.288 0.635
K2 K 0.288 0.635 0.151
K3 K 0.365 0.849 0.712
K4 K 0.635 0.151 0.288
K5 K 0.712 0.365 0.849
K6 K 0.849 0.712 0.365
Zr1 Zr 0.000 0.000 0.000
I1 I 0.009 0.947 0.707
I2 I 0.053 0.293 0.991
I3 I 0.164 0.583 0.464
I4 I 0.293 0.991 0.053
I5 I 0.417 0.536 0.836
I6 I 0.464 0.164 0.583
I7 I 0.536 0.836 0.417
I8 I 0.583 0.464 0.164
I9 I 0.707 0.009 0.947
I10 I 0.836 0.417 0.536
I11 I 0.947 0.707 0.009
I12 I 0.991 0.053 0.293
```

Theoretical powder diffraction line list of Cs2SrH6Rh for copper Kα, from a structure optimized by DFT (GGA-PBE).

Largest 10 diffraction maxima, in order of rising 2θ, 10 to 80 degrees two-theta:
d = 6.204 Å, I = 32; d = 4.191 Å, I = 54; d = 3.281 Å, I = 100; d = 2.901 Å, I = 28; d = 2.723 Å, I = 51; d = 2.584 Å, I = 17; d = 2.095 Å, I = 25; d = 2.030 Å, I = 15; d = 1.894 Å, I = 20; d = 1.766 Å, I = 28

```
data_Cs2SrH6Rh
_cell_length_a 6.562
_cell_length_b 6.562
_cell_length_c 6.204
_cell_angle_alpha 90.00
_cell_angle_beta 90.00
_cell_angle_gamma 120.00
_symmetry_space_group_name_H-M 'P 1'
_symmetry_Int_Tables_number 1
_symmetry_space_group_name_Hall 'P 1'
loop_
_atom_site_label
_atom_site_type_symbol
_atom_site_fract_x
_atom_site_fract_y
_atom_site_fract_z
Cs1 Cs 0.333 0.667 0.125
Cs2 Cs 0.667 0.333 0.875
Sr1 Sr 0.000 0.000 0.500
H1 H 0.121 0.242 0.841
H2 H 0.121 0.879 0.841
H3 H 0.242 0.121 0.159
H4 H 0.758 0.879 0.841
H5 H 0.879 0.121 0.159
H6 H 0.879 0.758 0.159
Rh1 Rh 0.000 0.000 0.000
```

Theoretical powder diffraction line list of BaTiGe3O9 for copper Kα, from a structure optimized by DFT (GGA-PBE).

Largest 10 diffraction maxima, in order of rising 2θ, 10 to 80 degrees two-theta:
d = 3.902 Å, I = 100; d = 3.275 Å, I = 30; d = 2.992 Å, I = 45; d = 2.869 Å, I = 86; d = 2.574 Å, I = 19; d = 2.209 Å, I = 14; d = 2.071 Å, I = 16; d = 1.951 Å, I = 30; d = 1.638 Å, I = 15; d = 1.580 Å, I = 17

```
data_BaTiGe3O9
_cell_length_a 6.909
_cell_length_b 6.909
_cell_length_c 10.295
_cell_angle_alpha 90.00
_cell_angle_beta 90.00
_cell_angle_gamma 120.00
_symmetry_space_group_name_H-M 'P 1'
_symmetry_Int_Tables_number 1
_symmetry_space_group_name_Hall 'P 1'
loop_
_atom_site_label
_atom_site_type_symbol
_atom_site_fract_x
_atom_site_fract_y
_atom_site_fract_z
Ba1 Ba 0.000 0.000 0.000
Ba2 Ba 0.000 0.000 0.500
Ti1 Ti 0.667 0.333 0.000
Ti2 Ti 0.667 0.333 0.500
Ge1 Ge 0.033 0.446 0.250
Ge2 Ge 0.033 0.587 0.750
Ge3 Ge 0.413 0.446 0.750
Ge4 Ge 0.413 0.967 0.250
Ge5 Ge 0.554 0.587 0.250
Ge6 Ge 0.554 0.967 0.750
O1 O 0.129 0.392 0.750
O2 O 0.129 0.738 0.250
O3 O 0.262 0.392 0.250
O4 O 0.262 0.871 0.750
O5 O 0.420 0.108 0.108
O6 O 0.420 0.108 0.392
O7 O 0.420 0.312 0.608
O8 O 0.420 0.312 0.892
O9 O 0.608 0.738 0.750
O10 O 0.608 0.871 0.250
O11 O 0.688 0.108 0.608
O12 O 0.688 0.108 0.892
O13 O 0.688 0.580 0.108
O14 O 0.688 0.580 0.392
O15 O 0.892 0.312 0.108
O16 O 0.892 0.312 0.392
O17 O 0.892 0.580 0.608
O18 O 0.892 0.580 0.892
```

Theoretical powder diffraction line list of KCoAu3C6N6 for copper Kα, from a structure optimized by DFT (GGA-PBE).

Largest 10 diffraction maxima, in order of rising 2θ, 10 to 80 degrees two-theta:
d = 7.295 Å, I = 94; d = 4.718 Å, I = 81; d = 3.648 Å, I = 35; d = 3.208 Å, I = 43; d = 3.093 Å, I = 72; d = 2.847 Å, I = 100; d = 2.359 Å, I = 79; d = 1.912 Å, I = 29; d = 1.604 Å, I = 30; d = 1.571 Å, I = 29

```
data_KCoAu3C6N6
_cell_length_a 7.142
_cell_length_b 7.142
_cell_length_c 7.295
_cell_angle_alpha 90.00
_cell_angle_beta 90.00
_cell_angle_gamma 120.00
_symmetry_space_group_name_H-M 'P 1'
_symmetry_Int_Tables_number 1
_symmetry_space_group_name_Hall 'P 1'
loop_
_atom_site_label
_atom_site_type_symbol
_atom_site_fract_x
_atom_site_fract_y
_atom_site_fract_z
K1 K 0.000 0.000 0.000
Co1 Co 0.667 0.333 0.000
Au1 Au 0.173 0.346 0.500
Au2 Au 0.173 0.827 0.500
Au3 Au 0.654 0.827 0.500
C1 C 0.342 0.001 0.285
C2 C 0.342 0.341 0.715
C3 C 0.659 0.001 0.715
C4 C 0.659 0.658 0.285
C5 C 0.999 0.341 0.285
C6 C 0.999 0.658 0.715
N1 N 0.445 0.111 0.162
N2 N 0.445 0.334 0.838
N3 N 0.666 0.111 0.838
N4 N 0.666 0.555 0.162
N5 N 0.889 0.334 0.162
N6 N 0.889 0.555 0.838
```

Theoretical powder diffraction line list of V7Re2W3 for copper Kα, from a structure optimized by DFT (GGA-PBE).

Largest 10 diffraction maxima, in order of rising 2θ, 10 to 80 degrees two-theta:
d = 5.141 Å, I = 21; d = 3.427 Å, I = 21; d = 2.982 Å, I = 38; d = 2.759 Å, I = 27; d = 2.136 Å, I = 28; d = 2.126 Å, I = 27; d = 2.104 Å, I = 100; d = 1.507 Å, I = 18; d = 1.227 Å, I = 17; d = 1.223 Å, I = 17

```
data_V7Re2W3
_cell_length_a 10.500
_cell_length_b 10.500
_cell_length_c 4.272
_cell_angle_alpha 90.00
_cell_angle_beta 90.00
_cell_angle_gamma 156.63
_symmetry_space_group_name_H-M 'P 1'
_symmetry_Int_Tables_number 1
_symmetry_space_group_name_Hall 'P 1'
loop_
_atom_site_label
_atom_site_type_symbol
_atom_site_fract_x
_atom_site_fract_y
_atom_site_fract_z
V1 V 0.000 0.000 0.000
V2 V 0.075 0.925 0.500
V3 V 0.282 0.718 0.000
V4 V 0.426 0.574 0.000
V5 V 0.574 0.426 0.000
V6 V 0.718 0.282 0.000
V7 V 0.925 0.075 0.500
Re1 Re 0.147 0.853 0.000
Re2 Re 0.853 0.147 0.000
W1 W 0.349 0.651 0.500
W2 W 0.500 0.500 0.500
W3 W 0.651 0.349 0.500
```

Theoretical powder diffraction line list of Sm3Se2N2 for copper Kα, from a structure optimized by DFT (GGA-PBE).

Largest 10 diffraction maxima, in order of rising 2θ, 10 to 80 degrees two-theta:
d = 3.623 Å, I = 25; d = 3.264 Å, I = 24; d = 3.251 Å, I = 30; d = 3.210 Å, I = 72; d = 2.990 Å, I = 100; d = 2.725 Å, I = 34; d = 2.587 Å, I = 50; d = 2.437 Å, I = 37; d = 2.305 Å, I = 41; d = 1.882 Å, I = 30

```
data_Sm3Se2N2
_cell_length_a 6.544
_cell_length_b 7.365
_cell_length_c 7.305
_cell_angle_alpha 90.00
_cell_angle_beta 116.30
_cell_angle_gamma 90.00
_symmetry_space_group_name_H-M 'P 1'
_symmetry_Int_Tables_number 1
_symmetry_space_group_name_Hall 'P 1'
loop_
_atom_site_label
_atom_site_type_symbol
_atom_site_fract_x
_atom_site_fract_y
_atom_site_fract_z
Sm1 Sm 0.000 0.000 0.000
Sm2 Sm 0.000 0.500 0.500
Sm3 Sm 0.385 0.110 0.759
Sm4 Sm 0.385 0.390 0.259
Sm5 Sm 0.615 0.610 0.741
Sm6 Sm 0.615 0.890 0.241
Se1 Se 0.182 0.655 0.913
Se2 Se 0.182 0.845 0.413
Se3 Se 0.818 0.155 0.587
Se4 Se 0.818 0.345 0.087
N1 N 0.345 0.119 0.066
N2 N 0.345 0.381 0.566
N3 N 0.655 0.619 0.434
N4 N 0.655 0.881 0.934
```

Theoretical powder diffraction line list of CsTi2Cl7 for copper Kα, from a structure optimized by DFT (GGA-PBE).

Largest 10 diffraction maxima, in order of rising 2θ, 10 to 80 degrees two-theta:
d = 4.786 Å, I = 43; d = 4.637 Å, I = 73; d = 4.495 Å, I = 75; d = 3.413 Å, I = 45; d = 3.126 Å, I = 62; d = 2.860 Å, I = 71; d = 2.811 Å, I = 100; d = 2.742 Å, I = 68; d = 2.271 Å, I = 41; d = 2.156 Å, I = 37

```
data_CsTi2Cl7
_cell_length_a 7.414
_cell_length_b 6.295
_cell_length_c 12.193
_cell_angle_alpha 90.00
_cell_angle_beta 91.77
_cell_angle_gamma 90.00
_symmetry_space_group_name_H-M 'P 1'
_symmetry_Int_Tables_number 1
_symmetry_space_group_name_Hall 'P 1'
loop_
_atom_site_label
_atom_site_type_symbol
_atom_site_fract_x
_atom_site_fract_y
_atom_site_fract_z
Cs1 Cs 0.000 0.129 0.250
Cs2 Cs 0.000 0.871 0.750
Ti1 Ti 0.433 0.261 0.569
Ti2 Ti 0.433 0.739 0.069
Ti3 Ti 0.567 0.261 0.931
Ti4 Ti 0.567 0.739 0.431
Cl1 Cl 0.155 0.370 0.622
Cl2 Cl 0.155 0.630 0.122
Cl3 Cl 0.294 0.078 0.999
Cl4 Cl 0.294 0.922 0.499
Cl5 Cl 0.388 0.430 0.386
Cl6 Cl 0.388 0.570 0.886
Cl7 Cl 0.500 0.092 0.750
Cl8 Cl 0.500 0.908 0.250
Cl9 Cl 0.612 0.430 0.114
Cl10 Cl 0.612 0.570 0.614
Cl11 Cl 0.706 0.078 0.501
Cl12 Cl 0.706 0.922 0.001
Cl13 Cl 0.845 0.370 0.878
Cl14 Cl 0.845 0.630 0.378
```

Theoretical powder diffraction line list of Na2Cd15Hg2 for copper Kα, from a structure optimized by DFT (GGA-PBE).

Largest 10 diffraction maxima, in order of rising 2θ, 10 to 80 degrees two-theta:
d = 7.686 Å, I = 47; d = 2.980 Å, I = 28; d = 2.879 Å, I = 24; d = 2.580 Å, I = 48; d = 2.562 Å, I = 51; d = 2.511 Å, I = 31; d = 2.497 Å, I = 26; d = 2.295 Å, I = 100; d = 2.257 Å, I = 36; d = 1.540 Å, I = 23

```
data_Na2Cd15Hg2
_cell_length_a 7.791
_cell_length_b 7.791
_cell_length_c 7.791
_cell_angle_alpha 82.97
_cell_angle_beta 82.97
_cell_angle_gamma 82.97
_symmetry_space_group_name_H-M 'P 1'
_symmetry_Int_Tables_number 1
_symmetry_space_group_name_Hall 'P 1'
loop_
_atom_site_label
_atom_site_type_symbol
_atom_site_fract_x
_atom_site_fract_y
_atom_site_fract_z
Na1 Na 0.166 0.166 0.166
Na2 Na 0.834 0.834 0.834
Cd1 Cd 0.000 0.500 0.500
Cd2 Cd 0.144 0.144 0.661
Cd3 Cd 0.144 0.661 0.144
Cd4 Cd 0.196 0.500 0.804
Cd5 Cd 0.196 0.804 0.500
Cd6 Cd 0.339 0.856 0.856
Cd7 Cd 0.500 0.000 0.500
Cd8 Cd 0.500 0.196 0.804
Cd9 Cd 0.500 0.500 0.000
Cd10 Cd 0.500 0.804 0.196
Cd11 Cd 0.661 0.144 0.144
Cd12 Cd 0.804 0.196 0.500
Cd13 Cd 0.804 0.500 0.196
Cd14 Cd 0.856 0.339 0.856
Cd15 Cd 0.856 0.856 0.339
Hg1 Hg 0.396 0.396 0.396
Hg2 Hg 0.604 0.604 0.604
```